Entry 1:
Li2Cd3Ag5: theoretical X-ray powder pattern (λ = 1.5418 Å (Cu Kα)), based on the GGA-PBE geometry in Alexandria.
Peak positions follow from Bragg's law for the DFT cell and can differ from measured ones.

Crystal structure
Cell lengths 4.5505, 5.1087, 9.6134 Å; angles 97.16, 90.21, 116.31 degrees
Atoms (fractional coordinates):
1 Li 0.0594 0.1204 0.2758
2 Li 0.9406 0.8796 0.7242
3 Cd 0.2110 0.4230 0.5984
4 Cd 0.5000 0.0000 0.0000
5 Cd 0.7890 0.5770 0.4016
6 Ag 0.1700 0.3399 0.9458
7 Ag 0.3468 0.6936 0.2333
8 Ag 0.5000 0.0000 0.5000
9 Ag 0.6532 0.3064 0.7667
10 Ag 0.8300 0.6601 0.0542

Top 10 peaks for 2θ = 5–70°, sorted by position:
2θ 18.6, rel. 38
2θ 20.5, rel. 40
2θ 21.9, rel. 29
2θ 22.9, rel. 53
2θ 35.7, rel. 36
2θ 37.0, rel. 100
2θ 38.4, rel. 66
2θ 38.5, rel. 65
2θ 39.6, rel. 77
2θ 42.5, rel. 40

***

Entry 2:
Li5Cd2Ag6: theoretical X-ray powder pattern (λ = 1.5418 Å (Cu Kα)), based on the GGA-PBE geometry in Alexandria.
Peak positions follow from Bragg's law for the DFT cell and can differ from measured ones.

Crystal structure
Cell lengths 9.5595, 16.1188, 2.9786 Å; angles 90.00, 90.00, 90.00 degrees
Atoms (fractional coordinates):
1 Li 0.0000 0.0000 0.0000
2 Li 0.0973 0.2757 0.0000
3 Li 0.1971 0.5519 0.0000
4 Li 0.3029 0.0519 0.0000
5 Li 0.4027 0.7757 0.0000
6 Li 0.5000 0.5000 0.0000
7 Li 0.5973 0.2243 0.0000
8 Li 0.6971 0.9481 0.0000
9 Li 0.8029 0.4481 0.0000
10 Li 0.9027 0.7243 0.0000
11 Cd 0.1570 0.7152 0.5000
12 Cd 0.3430 0.2152 0.5000
13 Cd 0.6570 0.7848 0.5000
14 Cd 0.8430 0.2848 0.5000
15 Ag 0.0595 0.4190 0.5000
16 Ag 0.0732 0.1349 0.5000
17 Ag 0.1868 0.8805 0.0000
18 Ag 0.3132 0.3805 0.0000
19 Ag 0.4268 0.6349 0.5000
20 Ag 0.4405 0.9190 0.5000
21 Ag 0.5595 0.0810 0.5000
22 Ag 0.5732 0.3651 0.5000
23 Ag 0.6868 0.6195 0.0000
24 Ag 0.8132 0.1195 0.0000
25 Ag 0.9268 0.8651 0.5000
26 Ag 0.9405 0.5810 0.5000

Top 10 peaks for 2θ = 5–70°, sorted by position:
2θ 22.1, rel. 50
2θ 24.0, rel. 39
2θ 24.9, rel. 41
2θ 30.0, rel. 30
2θ 33.4, rel. 55
2θ 38.1, rel. 60
2θ 39.4, rel. 100
2θ 39.8, rel. 29
2θ 40.3, rel. 46
2θ 42.2, rel. 45

***

Entry 3:
Li3Cd2Ag4: theoretical X-ray powder pattern (λ = 1.5418 Å (Cu Kα)), based on the GGA-PBE geometry in Alexandria.
Peak positions follow from Bragg's law for the DFT cell and can differ from measured ones.

Crystal structure
Cell lengths 4.9377, 4.9377, 8.7180 Å; angles 104.68, 104.68, 51.35 degrees
Atoms (fractional coordinates):
1 Li 0.0000 0.0000 0.0000
2 Li 0.3361 0.3361 0.7838
3 Li 0.6639 0.6639 0.2162
4 Cd 0.3305 0.3305 0.4351
5 Cd 0.6695 0.6695 0.5649
6 Ag 0.0032 0.0032 0.6811
7 Ag 0.3320 0.3320 0.1021
8 Ag 0.6680 0.6680 0.8979
9 Ag 0.9968 0.9968 0.3189

Top 10 peaks for 2θ = 5–70°, sorted by position:
2θ 10.6, rel. 30
2θ 20.5, rel. 35
2θ 25.3, rel. 25
2θ 26.8, rel. 36
2θ 33.7, rel. 23
2θ 37.4, rel. 100
2θ 38.0, rel. 100
2θ 42.2, rel. 37
2θ 43.5, rel. 32
2θ 45.7, rel. 28

***

Entry 4:
Li2Cd5Ag2: theoretical X-ray powder pattern (λ = 1.5418 Å (Cu Kα)), based on the GGA-PBE geometry in Alexandria.
Peak positions follow from Bragg's law for the DFT cell and can differ from measured ones.

Crystal structure
Cell lengths 8.7399, 4.8274, 4.8274 Å; angles 59.68, 90.00, 90.00 degrees
Atoms (fractional coordinates):
1 Li 0.0000 0.0000 0.0000
2 Li 0.5000 0.3343 0.3343
3 Cd 0.1668 0.3316 0.3316
4 Cd 0.3304 0.9992 0.9992
5 Cd 0.5000 0.6672 0.6672
6 Cd 0.6696 0.9992 0.9992
7 Cd 0.8332 0.3316 0.3316
8 Ag 0.1665 0.6634 0.6634
9 Ag 0.8335 0.6634 0.6634

Top 10 peaks for 2θ = 5–70°, sorted by position:
2θ 20.3, rel. 15
2θ 23.6, rel. 42
2θ 30.7, rel. 12
2θ 37.3, rel. 80
2θ 37.4, rel. 40
2θ 37.7, rel. 100
2θ 49.0, rel. 13
2θ 53.9, rel. 11
2θ 54.1, rel. 22
2θ 67.4, rel. 24

***

Entry 5:
Li8Cd3Ag: theoretical X-ray powder pattern (λ = 1.5418 Å (Cu Kα)), based on the GGA-PBE geometry in Alexandria.
Peak positions follow from Bragg's law for the DFT cell and can differ from measured ones.

Crystal structure
Cell lengths 7.0992, 7.0992, 7.0992 Å; angles 118.14, 118.14, 93.25 degrees
Atoms (fractional coordinates):
1 Li 0.1293 0.1293 0.7377
2 Li 0.2407 0.7280 0.0000
3 Li 0.2720 0.2720 0.5127
4 Li 0.3916 0.3916 0.2623
5 Li 0.6084 0.8707 0.0000
6 Li 0.7280 0.2407 0.0000
7 Li 0.7593 0.7593 0.4873
8 Li 0.8707 0.6084 0.0000
9 Cd 0.0000 0.0000 0.0000
10 Cd 0.2500 0.7500 0.5000
11 Cd 0.7500 0.2500 0.5000
12 Ag 0.5000 0.5000 0.0000

Top 10 peaks for 2θ = 5–70°, sorted by position:
2θ 24.4, rel. 51
2θ 25.1, rel. 100
2θ 34.8, rel. 24
2θ 36.9, rel. 11
2θ 43.4, rel. 50
2θ 44.7, rel. 20
2θ 51.6, rel. 15
2θ 56.8, rel. 10
2θ 68.3, rel. 12
2θ 69.3, rel. 10

***

Entry 6:
LiCd2Ag: theoretical X-ray powder pattern (λ = 1.5418 Å (Cu Kα)), based on the GGA-PBE geometry in Alexandria.
Peak positions follow from Bragg's law for the DFT cell and can differ from measured ones.

Crystal structure
Cell lengths 2.9477, 4.5851, 5.7667 Å; angles 90.00, 104.18, 90.00 degrees
Atoms (fractional coordinates):
1 Li 0.0000 0.0000 0.0000
2 Cd 0.3427 0.5000 0.7783
3 Cd 0.6631 0.0000 0.4780
4 Ag 0.0280 0.5000 0.2458

Top 10 peaks for 2θ = 5–70°, sorted by position:
2θ 15.9, rel. 28
2θ 19.4, rel. 28
2θ 25.1, rel. 46
2θ 37.1, rel. 52
2θ 37.2, rel. 79
2θ 37.7, rel. 100
2θ 38.7, rel. 41
2θ 39.2, rel. 29
2θ 39.3, rel. 47
2θ 56.4, rel. 26

***

Entry 7:
LiMg3Cd3Ag2: theoretical X-ray powder pattern (λ = 1.5418 Å (Cu Kα)), based on the GGA-PBE geometry in Alexandria.
Peak positions follow from Bragg's law for the DFT cell and can differ from measured ones.

Crystal structure
Cell lengths 8.1049, 8.1049, 3.1136 Å; angles 90.00, 90.00, 120.00 degrees
Atoms (fractional coordinates):
1 Li 0.0000 0.0000 0.0000
2 Mg 0.0000 0.3746 0.0000
3 Mg 0.3746 0.0000 0.0000
4 Mg 0.6254 0.6254 0.0000
5 Cd 0.0000 0.7111 0.5000
6 Cd 0.2889 0.2889 0.5000
7 Cd 0.7111 0.0000 0.5000
8 Ag 0.3333 0.6667 0.5000
9 Ag 0.6667 0.3333 0.5000

Top 10 peaks for 2θ = 5–70°, sorted by position:
2θ 21.9, rel. 64
2θ 25.4, rel. 28
2θ 28.7, rel. 56
2θ 33.8, rel. 49
2θ 36.4, rel. 93
2θ 38.5, rel. 100
2θ 38.7, rel. 33
2θ 44.9, rel. 34
2θ 48.7, rel. 57
2θ 65.2, rel. 28

***

Entry 8:
Li2Mg3Cd3Ag: theoretical X-ray powder pattern (λ = 1.5418 Å (Cu Kα)), based on the GGA-PBE geometry in Alexandria.
Peak positions follow from Bragg's law for the DFT cell and can differ from measured ones.

Crystal structure
Cell lengths 8.2143, 8.2143, 3.0306 Å; angles 90.00, 90.00, 120.00 degrees
Atoms (fractional coordinates):
1 Li 0.3333 0.6667 0.0000
2 Li 0.6667 0.3333 0.0000
3 Mg 0.0000 0.7024 0.0000
4 Mg 0.2976 0.2976 0.0000
5 Mg 0.7024 0.0000 0.0000
6 Cd 0.0000 0.3687 0.5000
7 Cd 0.3687 0.0000 0.5000
8 Cd 0.6313 0.6313 0.5000
9 Ag 0.0000 0.0000 0.5000

Top 10 peaks for 2θ = 5–70°, sorted by position:
2θ 12.4, rel. 34
2θ 21.6, rel. 88
2θ 25.0, rel. 40
2θ 29.5, rel. 34
2θ 33.3, rel. 29
2θ 36.9, rel. 100
2θ 37.9, rel. 89
2θ 39.0, rel. 37
2θ 48.8, rel. 40
2θ 64.9, rel. 25

***

Entry 9:
LiMgCdAg2: theoretical X-ray powder pattern (λ = 1.5418 Å (Cu Kα)), based on the GGA-PBE geometry in Alexandria.
Peak positions follow from Bragg's law for the DFT cell and can differ from measured ones.

Crystal structure
Cell lengths 6.5320, 4.2380, 6.6531 Å; angles 90.00, 91.75, 90.00 degrees
Atoms (fractional coordinates):
1 Li 0.1646 0.2500 0.0555
2 Li 0.8354 0.7500 0.9445
3 Mg 0.2482 0.7500 0.7571
4 Mg 0.7518 0.2500 0.2429
5 Cd 0.3364 0.2500 0.4430
6 Cd 0.6636 0.7500 0.5570
7 Ag 0.0402 0.7500 0.3320
8 Ag 0.4469 0.7500 0.1456
9 Ag 0.5531 0.2500 0.8544
10 Ag 0.9598 0.2500 0.6680

Top 10 peaks for 2θ = 5–70°, sorted by position:
2θ 13.3, rel. 34
2θ 19.3, rel. 29
2θ 24.9, rel. 30
2θ 28.7, rel. 24
2θ 37.0, rel. 100
2θ 37.3, rel. 94
2θ 42.7, rel. 66
2θ 44.2, rel. 28
2θ 61.9, rel. 20
2θ 63.1, rel. 18

***

Entry 10:
Li2Mg4CdAg2: theoretical X-ray powder pattern (λ = 1.5418 Å (Cu Kα)), based on the GGA-PBE geometry in Alexandria.
Peak positions follow from Bragg's law for the DFT cell and can differ from measured ones.

Crystal structure
Cell lengths 5.1553, 5.1933, 7.6490 Å; angles 73.37, 81.00, 62.13 degrees
Atoms (fractional coordinates):
1 Li 0.1440 0.4230 0.3361
2 Li 0.8560 0.5770 0.6639
3 Mg 0.1738 0.1636 0.0005
4 Mg 0.2145 0.9161 0.6520
5 Mg 0.7855 0.0839 0.3480
6 Mg 0.8262 0.8364 0.9995
7 Cd 0.5000 0.5000 0.0000
8 Ag 0.4721 0.7409 0.3286
9 Ag 0.5279 0.2591 0.6714

Top 10 peaks for 2θ = 5–70°, sorted by position:
2θ 19.5, rel. 100
2θ 20.7, rel. 32
2θ 25.8, rel. 45
2θ 27.5, rel. 31
2θ 35.4, rel. 26
2θ 36.8, rel. 47
2θ 37.4, rel. 41
2θ 37.6, rel. 41
2θ 39.3, rel. 38
2θ 39.5, rel. 32

***

Entry 11:
Li2MgCd4Ag2: theoretical X-ray powder pattern (λ = 1.5418 Å (Cu Kα)), based on the GGA-PBE geometry in Alexandria.
Peak positions follow from Bragg's law for the DFT cell and can differ from measured ones.

Crystal structure
Cell lengths 4.7660, 5.5300, 7.5618 Å; angles 83.12, 71.87, 66.24 degrees
Atoms (fractional coordinates):
1 Li 0.0875 0.0991 0.2332
2 Li 0.9125 0.9009 0.7668
3 Mg 0.5000 0.0000 0.5000
4 Cd 0.1770 0.3114 0.8452
5 Cd 0.2407 0.6076 0.4071
6 Cd 0.7593 0.3924 0.5929
7 Cd 0.8230 0.6886 0.1548
8 Ag 0.4109 0.7505 0.9113
9 Ag 0.5891 0.2495 0.0887

Top 10 peaks for 2θ = 5–70°, sorted by position:
2θ 17.5, rel. 41
2θ 21.5, rel. 20
2θ 27.7, rel. 42
2θ 27.9, rel. 26
2θ 37.2, rel. 65
2θ 37.5, rel. 57
2θ 37.8, rel. 100
2θ 37.9, rel. 46
2θ 38.0, rel. 54
2θ 67.7, rel. 20

***

Entry 12:
LiNd2Cd6Ag: theoretical X-ray powder pattern (λ = 1.5418 Å (Cu Kα)), based on the GGA-PBE geometry in Alexandria.
Peak positions follow from Bragg's law for the DFT cell and can differ from measured ones.

Crystal structure
Cell lengths 7.0327, 7.0457, 7.0972 Å; angles 60.32, 60.45, 60.16 degrees
Atoms (fractional coordinates):
1 Li 0.0000 0.0000 0.0000
2 Nd 0.1961 0.1937 0.4144
3 Nd 0.8039 0.8063 0.5856
4 Cd 0.1517 0.6571 0.8575
5 Cd 0.3320 0.1531 0.8576
6 Cd 0.3433 0.6678 0.1410
7 Cd 0.6567 0.3322 0.8590
8 Cd 0.6680 0.8469 0.1424
9 Cd 0.8483 0.3429 0.1425
10 Ag 0.5000 0.5000 0.5000

Top 10 peaks for 2θ = 5–70°, sorted by position:
2θ 15.4, rel. 14
2θ 29.4, rel. 32
2θ 29.6, rel. 100
2θ 29.7, rel. 47
2θ 31.1, rel. 27
2θ 35.9, rel. 17
2θ 39.0, rel. 21
2θ 39.4, rel. 21
2θ 40.2, rel. 46
2θ 44.6, rel. 14

***

Entry 13:
LiCdAgPd: theoretical X-ray powder pattern (λ = 1.5418 Å (Cu Kα)), based on the GGA-PBE geometry in Alexandria.
Peak positions follow from Bragg's law for the DFT cell and can differ from measured ones.

Crystal structure
Cell lengths 4.9307, 4.9307, 4.1410 Å; angles 114.70, 114.70, 48.50 degrees
Atoms (fractional coordinates):
1 Li 0.0000 0.0000 0.0000
2 Cd 0.4988 0.4988 0.4989
3 Ag 0.2508 0.2508 0.7515
4 Pd 0.7474 0.7474 0.2474

Top 10 peaks for 2θ = 5–70°, sorted by position:
2θ 22.2, rel. 9
2θ 24.2, rel. 17
2θ 24.6, rel. 18
2θ 30.9, rel. 8
2θ 38.4, rel. 100
2θ 43.7, rel. 17
2θ 44.8, rel. 16
2θ 45.4, rel. 15
2θ 64.4, rel. 10
2θ 65.6, rel. 10

***

Entry 14:
Li2Cd4AgPd: theoretical X-ray powder pattern (λ = 1.5418 Å (Cu Kα)), based on the GGA-PBE geometry in Alexandria.
Peak positions follow from Bragg's law for the DFT cell and can differ from measured ones.

Crystal structure
Cell lengths 4.7308, 4.6975, 6.5459 Å; angles 90.00, 90.31, 90.00 degrees
Atoms (fractional coordinates):
1 Li 0.0000 0.0000 0.0000
2 Li 0.5000 0.5000 0.5000
3 Cd 0.0000 0.5000 0.2563
4 Cd 0.0000 0.5000 0.7437
5 Cd 0.4991 0.0000 0.2581
6 Cd 0.5009 0.0000 0.7419
7 Ag 0.5000 0.5000 0.0000
8 Pd 0.0000 0.0000 0.5000

Top 10 peaks for 2θ = 5–70°, sorted by position:
2θ 23.1, rel. 17
2θ 23.3, rel. 53
2θ 26.7, rel. 29
2θ 38.0, rel. 52
2θ 38.3, rel. 51
2θ 38.5, rel. 100
2θ 38.6, rel. 99
2θ 55.1, rel. 34
2θ 68.9, rel. 17
2θ 69.2, rel. 17